Calculated powder X-ray diffraction pattern of ZrMn2Rh for Cu Kα (λ = 1.5418 Å), from a GGA-PBE-relaxed structure.
Intensities are scaled so that the largest is 100.

Principal peaks in the range 2θ from 10° to 80°, by angle:
index, Position (°2θ), intensity
1 1 2, 39.6, 100
0 0 4, 41.2, 22
0 2 0, 42.3, 21
0 2 4, 60.5, 13
1 1 6, 74.0, 14
1 3 2, 75.6, 14

Structural model:
Unit cell a=3.407 b=4.270 c=8.764 alpha=90.00 beta=90.00 gamma=90.00
Space group Imm2 (No. 44)
Unique sites:
1 Zr 0.000 0.000 0.000 (multiplicity 2)
2 Mn 0.000 0.000 0.477 (multiplicity 2)
3 Mn 0.000 0.500 0.238 (multiplicity 2)
4 Rh 0.000 0.500 0.744 (multiplicity 2)